Diffraction record for Tb3ZnAg2. The PXRD pattern is theoretical, not measured: it uses a structure optimized by DFT (PBE) and λ = 1.5418 Å (Cu Kα).

Structural model:
```
Tb3ZnAg2
1.0
5.1377 0.0000 0.0000
-2.5688 4.4494 0.0000
0.0000 0.0000 12.5641
Tb Zn Ag
6 2 4
Cartesian
0.0000 0.0000 3.1150
0.0000 0.0000 9.4491
0.0000 2.9662 5.2132
0.0000 2.9662 11.5276
2.5688 1.4831 1.0365
2.5688 1.4831 7.3509
0.0000 2.9662 2.1047
2.5688 1.4831 10.4593
0.0000 0.0000 0.0000
0.0000 0.0000 6.2820
0.0000 2.9662 8.4245
2.5688 1.4831 4.1396
```

Most intense lines, 15 to 90 degrees two-theta, low angle first:
two_theta	I_rel	index
24.52	6	0 1 2
34.95	100	1 1 0
43.15	2	0 0 6
50.26	18	0 2 4
56.69	3	1 1 6
62.65	27	3 0 0
62.74	9	0 1 8
73.82	11	2 2 0
79.11	1	3 0 6
84.35	16	1 3 4